Diffraction record for IO6. The powder diffraction line list is theoretical, not measured: it uses a DFT-relaxed cell (PBE, Alexandria) and a wavelength of 1.5418 Å.

Largest 8 diffraction maxima, in order of rising 2θ, 5 to 70 degrees two-theta:
- 9.500 Å, I = 22, (0 2 0)
- 4.741 Å, I = 99, (0 4 0)
- 4.263 Å, I = 100, (0 2 1)
- 3.813 Å, I = 13, (0 3 1)
- 3.595 Å, I = 36, (1 3 -1)
- 3.000 Å, I = 16, (1 5 0)
- 2.303 Å, I = 17, (1 7 -1)
- 2.132 Å, I = 13, (1 5 -2)

Atomic structure:
```
IO6
1.0
5.304 0.000 0.000
0.000 19.001 0.000
-2.009 0.000 4.776
I O
4 24
Direct
0.187 0.143 0.175
0.187 0.357 0.675
0.813 0.643 0.325
0.813 0.857 0.825
0.068 0.574 0.554
0.068 0.926 0.054
0.135 0.196 0.838
0.135 0.304 0.338
0.167 0.683 0.412
0.167 0.817 0.912
0.185 0.073 0.436
0.185 0.427 0.936
0.385 0.209 0.451
0.385 0.291 0.951
0.500 0.092 0.212
0.500 0.408 0.712
0.500 0.592 0.288
0.500 0.908 0.788
0.615 0.709 0.049
0.615 0.791 0.549
0.815 0.573 0.064
0.815 0.927 0.564
0.833 0.183 0.088
0.833 0.317 0.588
0.865 0.696 0.662
0.865 0.804 0.162
0.932 0.074 0.946
0.932 0.426 0.446
```